Diffraction record for CePu3Ga. The powder XRD pattern is computed, not measured: it uses the GGA-PBE geometry in Alexandria and a wavelength of 1.5418 Å.
Kinematic intensities with the Lorentz-polarization factor, no thermal factor.

Principal peaks in the range 10 to 80 degrees two-theta, low angle first:
Position (°2θ), I_rel
16.9, 100
17.6, 29
29.9, 66
34.1, 65
35.5, 26
38.6, 28
39.6, 59
43.4, 63
53.2, 51
61.2, 25

Atomic structure:
```
data_CePu3Ga
_chemical_formula_sum 'Ce2 Pu6 Ga2'
_space_group_name_H-M_alt 'A m m 2'
_space_group_IT_number 38
_cell_length_a 3.707
_cell_length_b 5.758
_cell_length_c 10.523
_cell_angle_alpha 90.00
_cell_angle_beta 90.00
_cell_angle_gamma 90.00
loop_
_space_group_symop_operation_xyz
'x,y,z'
'-x,-y,z'
'-x,y,z'
'x,-y,z'
'x,y+1/2,z+1/2'
'-x,-y+1/2,z+1/2'
'-x,y+1/2,z+1/2'
'x,-y+1/2,z+1/2'
loop_
_atom_site_label
_atom_site_type_symbol
_atom_site_fract_x
_atom_site_fract_y
_atom_site_fract_z
Ce1 Ce 0.000 0.000 0.000
Pu1 Pu 0.000 0.000 0.241
Pu2 Pu 0.500 0.227 0.746
Ga1 Ga 0.500 0.000 0.486
```